[1]
# SrPPt
Theoretical PXRD pattern, Cu Kα. Input: a cell relaxed with GGA-PBE.
Lines closer than 0.1° are merged.

Cell: 4.1382 4.1382 4.5245 Å, 90.00 90.00 120.00°
Sites, in units of the cell vectors:
Sr (0.0000, 0.0000, 0.0000)
P (0.6667, 0.3333, 0.5000)
Pt (0.3333, 0.6667, 0.5000)

Top 12 peaks for 2θ = 10–80°, in order of rising 2θ:
- 2θ 19.62, rel. 17, (0 0 1)
- 2θ 24.84, rel. 31, (1 0 0)
- 2θ 31.85, rel. 100, (1 0 1)
- 2θ 39.85, rel. 15, (0 0 2)
- 2θ 43.75, rel. 34, (1 1 0)
- 2θ 47.53, rel. 11, (1 0 2)
- 2θ 48.37, rel. 10, (1 1 1)
- 2θ 50.96, rel. 5, (2 0 0)
- 2θ 55.13, rel. 21, (2 0 1)
- 2θ 60.65, rel. 26, (1 1 2)
- 2θ 67.36, rel. 12, (1 0 3)
- 2θ 72.90, rel. 19, (2 1 1)



[2]
# TlPPt5
Theoretical PXRD pattern, Cu Kα. Input: a cell relaxed with GGA-PBE.
Lines closer than 0.1° are merged.

Cell: 4.0185 4.0185 7.1871 Å, 90.00 90.00 90.00°
Sites, in units of the cell vectors:
Tl (0.0000, 0.0000, 0.0000)
P (0.5000, 0.5000, 0.5000)
Pt (0.0000, 0.5000, 0.3023)
Pt (0.0000, 0.5000, 0.6977)
Pt (0.5000, 0.0000, 0.3023)
Pt (0.5000, 0.0000, 0.6977)
Pt (0.5000, 0.5000, 0.0000)

Top 12 peaks for 2θ = 10–80°, in order of rising 2θ:
- 2θ 12.32, rel. 5, (0 0 1)
- 2θ 31.48, rel. 11, (1 1 0)
- 2θ 33.92, rel. 56, (1 1 1)
- 2θ 37.54, rel. 29, (0 0 3)
- 2θ 40.47, rel. 100, (1 1 2)
- 2θ 45.12, rel. 49, (2 0 0)
- 2θ 60.10, rel. 30, (2 0 3)
- 2θ 65.72, rel. 16, (2 2 0)
- 2θ 70.28, rel. 7, (2 0 4)
- 2θ 73.89, rel. 21, (1 1 5)
- 2θ 76.06, rel. 11, (3 1 1)
- 2θ 78.23, rel. 14, (2 2 3)



Please write out number 2 again, unchanged.
# TlPPt5
Theoretical PXRD pattern, Cu Kα. Input: a cell relaxed with GGA-PBE.
Lines closer than 0.1° are merged.

Cell: 4.0185 4.0185 7.1871 Å, 90.00 90.00 90.00°
Sites, in units of the cell vectors:
Tl (0.0000, 0.0000, 0.0000)
P (0.5000, 0.5000, 0.5000)
Pt (0.0000, 0.5000, 0.3023)
Pt (0.0000, 0.5000, 0.6977)
Pt (0.5000, 0.0000, 0.3023)
Pt (0.5000, 0.0000, 0.6977)
Pt (0.5000, 0.5000, 0.0000)

Top 12 peaks for 2θ = 10–80°, in order of rising 2θ:
- 2θ 12.32, rel. 5, (0 0 1)
- 2θ 31.48, rel. 11, (1 1 0)
- 2θ 33.92, rel. 56, (1 1 1)
- 2θ 37.54, rel. 29, (0 0 3)
- 2θ 40.47, rel. 100, (1 1 2)
- 2θ 45.12, rel. 49, (2 0 0)
- 2θ 60.10, rel. 30, (2 0 3)
- 2θ 65.72, rel. 16, (2 2 0)
- 2θ 70.28, rel. 7, (2 0 4)
- 2θ 73.89, rel. 21, (1 1 5)
- 2θ 76.06, rel. 11, (3 1 1)
- 2θ 78.23, rel. 14, (2 2 3)